# MgTe
Simulated powder diffractogram, copper Kα. Input: a crystal structure in the Materials Project, relaxed with GGA-PBE.
Intensities are scaled so that the largest is 100.

Structural model:
```
data_MgTe
_cell_length_a 6.513
_cell_length_b 6.513
_cell_length_c 6.513
_cell_angle_alpha 90.00
_cell_angle_beta 90.00
_cell_angle_gamma 90.00
_space_group_name_H-M_alt 'F -4 3 m'
_space_group_IT_number 216
_space_group_name_Hall 'F -4 2 3'
loop_
_atom_site_label
_atom_site_fract_x
_atom_site_fract_y
_atom_site_fract_z
Mg1 0.000 0.000 0.000
Te1 0.250 0.250 0.250
```

Largest 10 diffraction maxima, in order of rising 2θ, 10° ≤ 2θ ≤ 90°:
23.7 deg, 3.760 Å, intensity 100, hkl 1 1 1
27.4 deg, 3.256 Å, intensity 31, hkl 2 0 0
39.1 deg, 2.303 Å, intensity 56, hkl 2 2 0
46.2 deg, 1.964 Å, intensity 49, hkl 3 1 1
56.5 deg, 1.628 Å, intensity 9, hkl 4 0 0
62.1 deg, 1.494 Å, intensity 20, hkl 3 3 1
63.9 deg, 1.456 Å, intensity 11, hkl 4 2 0
70.9 deg, 1.329 Å, intensity 19, hkl 4 2 2
75.9 deg, 1.253 Å, intensity 15, hkl 5 1 1
88.9 deg, 1.101 Å, intensity 15, hkl 5 3 1

# LiNdS2
Simulated powder diffractogram, copper Kα. Input: a crystal structure in the Materials Project, relaxed with GGA-PBE.
Intensities are scaled so that the largest is 100.

Structural model:
```
data_LiNdS2
_cell_length_a 5.636
_cell_length_b 5.636
_cell_length_c 11.351
_cell_angle_alpha 90.00
_cell_angle_beta 90.00
_cell_angle_gamma 90.00
_space_group_name_H-M_alt 'I 41/a m d'
_space_group_IT_number 141
loop_
_space_group_symop_operation_xyz
'x,y,z'
'-x,-y,-z'
'-y+1/4,x+3/4,z+1/4'
'y+1/4,-x+3/4,-z+1/4'
'-x+1/2,-y,z+1/2'
'x+1/2,y,-z+1/2'
'y+1/4,-x+1/4,z+3/4'
'-y+1/4,x+1/4,-z+3/4'
'x,-y,-z'
'-x,y,z'
'-y+1/4,-x+1/4,-z+3/4'
'y+1/4,x+1/4,z+3/4'
'-x+1/2,y,-z+1/2'
'x+1/2,-y,z+1/2'
'y+1/4,x+3/4,-z+1/4'
'-y+1/4,-x+3/4,z+1/4'
'x+1/2,y+1/2,z+1/2'
'-x+1/2,-y+1/2,-z+1/2'
'-y+3/4,x+1/4,z+3/4'
'y+3/4,-x+1/4,-z+3/4'
'-x,-y+1/2,z'
'x,y+1/2,-z'
'y+3/4,-x+3/4,z+1/4'
'-y+3/4,x+3/4,-z+1/4'
'x+1/2,-y+1/2,-z+1/2'
'-x+1/2,y+1/2,z+1/2'
'-y+3/4,-x+3/4,-z+1/4'
'y+3/4,x+3/4,z+1/4'
'-x,y+1/2,-z'
'x,-y+1/2,z'
'y+3/4,x+1/4,-z+3/4'
'-y+3/4,-x+1/4,z+3/4'
loop_
_atom_site_label
_atom_site_fract_x
_atom_site_fract_y
_atom_site_fract_z
Li1 0.000 0.250 0.375
Nd1 0.000 0.250 0.875
S1 0.000 0.250 0.124
```

Largest 10 diffraction maxima, in order of rising 2θ, 10° ≤ 2θ ≤ 90°:
17.6 deg, 5.048 Å, intensity 100, hkl 1 0 1
27.3 deg, 3.261 Å, intensity 23, hkl 1 1 2
28.4 deg, 3.141 Å, intensity 31, hkl 1 0 3
31.5 deg, 2.838 Å, intensity 29, hkl 0 0 4
31.8 deg, 2.818 Å, intensity 57, hkl 2 0 0
36.5 deg, 2.460 Å, intensity 32, hkl 2 1 1
43.1 deg, 2.098 Å, intensity 20, hkl 2 1 3
45.4 deg, 2.000 Å, intensity 41, hkl 2 0 4
45.5 deg, 1.993 Å, intensity 20, hkl 2 2 0
56.4 deg, 1.631 Å, intensity 21, hkl 2 2 4

# Mg3Si2
Simulated powder diffractogram, copper Kα. Input: a crystal structure in the Materials Project, relaxed with GGA-PBE.
Intensities are scaled so that the largest is 100.

Structural model:
```
data_Mg3Si2
_cell_length_a 7.815
_cell_length_b 7.304
_cell_length_c 6.870
_cell_angle_alpha 90.00
_cell_angle_beta 104.26
_cell_angle_gamma 90.00
_space_group_name_H-M_alt 'C 1 2/c 1'
_space_group_IT_number 15
loop_
_space_group_symop_operation_xyz
'x,y,z'
'-x,-y,-z'
'-x,y,-z+1/2'
'x,-y,z+1/2'
'x+1/2,y+1/2,z'
'-x+1/2,-y+1/2,-z'
'-x+1/2,y+1/2,-z+1/2'
'x+1/2,-y+1/2,z+1/2'
loop_
_atom_site_label
_atom_site_fract_x
_atom_site_fract_y
_atom_site_fract_z
Mg1 0.000 0.158 0.250
Mg2 0.188 0.452 0.981
Si1 0.119 0.218 0.664
```

Largest 10 diffraction maxima, in order of rising 2θ, 10° ≤ 2θ ≤ 90°:
34.3 deg, 2.618 Å, intensity 54, hkl 1 1 2
34.5 deg, 2.602 Å, intensity 49, hkl 2 2 -1
36.5 deg, 2.460 Å, intensity 90, hkl 0 2 2
36.9 deg, 2.433 Å, intensity 100, hkl 3 1 -1
37.7 deg, 2.386 Å, intensity 39, hkl 3 1 0
38.9 deg, 2.318 Å, intensity 50, hkl 1 3 0
39.9 deg, 2.260 Å, intensity 59, hkl 2 2 -2
40.2 deg, 2.242 Å, intensity 70, hkl 2 0 2
41.4 deg, 2.183 Å, intensity 64, hkl 1 1 -3
42.2 deg, 2.139 Å, intensity 75, hkl 1 3 1

# TmSb
Simulated powder diffractogram, copper Kα. Input: a crystal structure in the Materials Project, relaxed with GGA-PBE.
Intensities are scaled so that the largest is 100.

Structural model:
```
data_TmSb
_cell_length_a 6.137
_cell_length_b 6.137
_cell_length_c 6.137
_cell_angle_alpha 90.00
_cell_angle_beta 90.00
_cell_angle_gamma 90.00
_space_group_name_H-M_alt 'F m -3 m'
_space_group_IT_number 225
_space_group_name_Hall '-F 4 2 3'
loop_
_atom_site_label
_atom_site_fract_x
_atom_site_fract_y
_atom_site_fract_z
Tm1 0.000 0.000 0.000
Sb1 0.000 0.000 0.500
```

Largest 10 diffraction maxima, in order of rising 2θ, 10° ≤ 2θ ≤ 90°:
25.1 deg, 3.543 Å, intensity 5, hkl 1 1 1
29.1 deg, 3.069 Å, intensity 100, hkl 2 0 0
41.6 deg, 2.170 Å, intensity 76, hkl 2 2 0
49.2 deg, 1.850 Å, intensity 3, hkl 3 1 1
51.6 deg, 1.772 Å, intensity 27, hkl 2 2 2
60.3 deg, 1.534 Å, intensity 13, hkl 4 0 0
66.4 deg, 1.408 Å, intensity 1, hkl 3 3 1
68.4 deg, 1.372 Å, intensity 35, hkl 4 2 0
76.0 deg, 1.253 Å, intensity 26, hkl 4 2 2
81.5 deg, 1.181 Å, intensity 1, hkl 5 1 1

# LaNi12B6
Simulated powder diffractogram, copper Kα. Input: a crystal structure in the Materials Project, relaxed with GGA-PBE.
Intensities are scaled so that the largest is 100.

Structural model:
```
data_LaNi12B6
_cell_length_a 9.602
_cell_length_b 7.403
_cell_length_c 11.062
_cell_angle_alpha 90.00
_cell_angle_beta 90.00
_cell_angle_gamma 90.00
_space_group_name_H-M_alt 'C m c 21'
_space_group_IT_number 36
loop_
_space_group_symop_operation_xyz
'x,y,z'
'-x,-y,z+1/2'
'-x,y,z'
'x,-y,z+1/2'
'x+1/2,y+1/2,z'
'-x+1/2,-y+1/2,z+1/2'
'-x+1/2,y+1/2,z'
'x+1/2,-y+1/2,z+1/2'
loop_
_atom_site_label
_atom_site_fract_x
_atom_site_fract_y
_atom_site_fract_z
La1 0.000 0.167 0.000
Ni1 0.000 0.223 0.400
Ni2 0.000 0.430 0.584
Ni3 0.132 0.343 0.225
Ni4 0.133 0.014 0.244
Ni5 0.133 0.327 0.765
Ni6 0.182 0.188 0.563
Ni7 0.191 0.465 0.433
B1 0.000 0.164 0.668
B2 0.000 0.486 0.339
B3 0.205 0.192 0.378
B4 0.213 0.462 0.614
```

Largest 10 diffraction maxima, in order of rising 2θ, 10° ≤ 2θ ≤ 90°:
31.5 deg, 2.836 Å, intensity 56, hkl 2 2 1
32.4 deg, 2.766 Å, intensity 28, hkl 0 0 4
34.6 deg, 2.592 Å, intensity 53, hkl 2 2 2
39.2 deg, 2.297 Å, intensity 64, hkl 3 1 3
41.0 deg, 2.202 Å, intensity 74, hkl 4 0 2
41.1 deg, 2.194 Å, intensity 100, hkl 1 3 2
43.7 deg, 2.070 Å, intensity 42, hkl 1 1 5
45.0 deg, 2.013 Å, intensity 39, hkl 3 1 4
49.5 deg, 1.843 Å, intensity 40, hkl 0 0 6
57.8 deg, 1.596 Å, intensity 28, hkl 3 3 4

# MgCu2Sn2O8
Simulated powder diffractogram, copper Kα. Input: a crystal structure in the Materials Project, relaxed with GGA-PBE.
Intensities are scaled so that the largest is 100.

Structural model:
```
data_MgCu2Sn2O8
_cell_length_a 6.235
_cell_length_b 8.726
_cell_length_c 12.189
_cell_angle_alpha 90.00
_cell_angle_beta 90.64
_cell_angle_gamma 90.00
_space_group_name_H-M_alt 'P 1 21/c 1'
_space_group_IT_number 14
loop_
_space_group_symop_operation_xyz
'x,y,z'
'-x,-y,-z'
'-x,y+1/2,-z+1/2'
'x,-y+1/2,z+1/2'
loop_
_atom_site_label
_atom_site_fract_x
_atom_site_fract_y
_atom_site_fract_z
Mg1 0.101 0.151 0.468
Cu1 0.246 0.689 0.837
Cu2 0.372 0.072 0.892
Sn1 0.095 0.048 0.160
Sn2 0.432 0.570 0.148
O1 0.033 0.235 0.624
O2 0.084 0.128 0.895
O3 0.196 0.555 0.040
O4 0.200 0.026 0.318
O5 0.280 0.603 0.300
O6 0.349 0.516 0.575
O7 0.417 0.229 0.442
O8 0.475 0.152 0.693
```

Largest 10 diffraction maxima, in order of rising 2θ, 10° ≤ 2θ ≤ 90°:
20.4 deg, 4.363 Å, intensity 65, hkl 0 2 0
22.9 deg, 3.882 Å, intensity 67, hkl 1 1 2
26.0 deg, 3.429 Å, intensity 38, hkl 1 2 1
28.0 deg, 3.185 Å, intensity 100, hkl 1 1 -3
28.3 deg, 3.157 Å, intensity 43, hkl 1 1 3
29.3 deg, 3.047 Å, intensity 73, hkl 0 0 4
31.3 deg, 2.861 Å, intensity 57, hkl 2 1 -1
31.4 deg, 2.847 Å, intensity 61, hkl 2 1 1
42.1 deg, 2.147 Å, intensity 37, hkl 0 4 1
56.8 deg, 1.621 Å, intensity 38, hkl 1 5 -2